Entry 1:
Diffraction record for CsS2O6F2. The powder XRD pattern is computed, not measured: it uses the GGA-PBE geometry in the Materials Project and Cu Kα X-rays.
Kinematic intensities with the Lorentz-polarization factor, no thermal factor.

Crystal structure
```
CsS2O6F2
1.0
6.9493 -3.9543 0.0000
6.9493 3.9543 0.0000
-6.2529 0.0000 7.6885
Cs S O F
2 4 12 4
direct
0.1054 0.8946 0.7500
0.8946 0.1054 0.2500
0.1715 0.4828 0.2755
0.4828 0.1715 0.7755
0.5172 0.8285 0.2245
0.8285 0.5172 0.7245
0.0649 0.3903 0.0873
0.1318 0.7075 0.3490
0.1607 0.4008 0.3692
0.2925 0.8682 0.1510
0.3903 0.0649 0.5873
0.4008 0.1607 0.8692
0.5992 0.8393 0.1308
0.6097 0.9351 0.4127
0.7075 0.1318 0.8490
0.8393 0.5992 0.6308
0.8682 0.2925 0.6510
0.9351 0.6097 0.9127
0.3891 0.4158 0.8017
0.4158 0.3891 0.3017
0.5842 0.6109 0.6983
0.6109 0.5842 0.1983
```

Principal peaks in the range 10° ≤ 2θ ≤ 80°, sorted by position:
- 2θ = 22.61°, I 81
- 2θ = 23.14°, I 72
- 2θ = 23.49°, I 69
- 2θ = 25.33°, I 100
- 2θ = 27.25°, I 46
- 2θ = 35.64°, I 33

***

Entry 2:
Diffraction record for TiBrN. The powder XRD pattern is computed, not measured: it uses the GGA-PBE geometry in the Materials Project and Cu Kα X-rays.
Kinematic intensities with the Lorentz-polarization factor, no thermal factor.

Crystal structure
```
TiBrN
1.0
3.3777 0.0000 0.0000
0.0000 3.9614 0.0000
0.0000 0.0000 8.9324
Ti Br N
2 2 2
direct
0.2500 0.2500 0.0836
0.7500 0.7500 0.9164
0.2500 0.7500 0.6923
0.7500 0.2500 0.3077
0.2500 0.7500 0.0391
0.7500 0.2500 0.9609
```

Principal peaks in the range 10° ≤ 2θ ≤ 80°, sorted by position:
- 2θ = 24.58°, I 100
- 2θ = 33.26°, I 50
- 2θ = 36.37°, I 24
- 2θ = 40.38°, I 24
- 2θ = 40.49°, I 29
- 2θ = 46.69°, I 46

***

Entry 3:
Diffraction record for TeW2S3. The powder XRD pattern is computed, not measured: it uses the GGA-PBE geometry in the Materials Project and Cu Kα X-rays.
Kinematic intensities with the Lorentz-polarization factor, no thermal factor.

Crystal structure
```
TeW2S3
1.0
3.2741 0.0000 0.0000
-1.6371 2.8355 0.0000
0.0000 0.0000 42.0075
Te W S
2 4 6
direct
0.0000 0.0000 0.0000
0.0000 0.0000 0.0922
0.0000 0.0000 0.2365
0.0000 0.0000 0.8559
0.6667 0.3333 0.0461
0.6667 0.3333 0.6702
0.0000 0.0000 0.6334
0.0000 0.0000 0.7069
0.6667 0.3333 0.1997
0.6667 0.3333 0.2733
0.6667 0.3333 0.8192
0.6667 0.3333 0.8927
```

Principal peaks in the range 10° ≤ 2θ ≤ 80°, sorted by position:
- 2θ = 10.53°, I 100
- 2θ = 12.64°, I 20
- 2θ = 31.58°, I 22
- 2θ = 36.00°, I 37
- 2θ = 42.41°, I 30
- 2θ = 56.22°, I 18

***

Entry 4:
Diffraction record for NaLa. The powder XRD pattern is computed, not measured: it uses the GGA-PBE geometry in the Materials Project and Cu Kα X-rays.
Kinematic intensities with the Lorentz-polarization factor, no thermal factor.

Crystal structure
```
NaLa
1.0
3.6063 0.0000 0.0000
-1.8031 3.1231 0.0000
0.0000 0.0000 6.4838
Na La
1 1
direct
0.0000 0.0000 0.0000
0.3333 0.6667 0.5000
```

Principal peaks in the range 10° ≤ 2θ ≤ 80°, sorted by position:
- 2θ = 13.66°, I 69
- 2θ = 27.51°, I 28
- 2θ = 28.58°, I 46
- 2θ = 31.80°, I 100
- 2θ = 40.09°, I 37
- 2θ = 51.42°, I 26

***

Entry 5:
Diffraction record for Na2MgNb2O6. The powder XRD pattern is computed, not measured: it uses the GGA-PBE geometry in the Materials Project and Cu Kα X-rays.
Kinematic intensities with the Lorentz-polarization factor, no thermal factor.

Crystal structure
```
Na2MgNb2O6
1.0
2.6879 1.5519 5.4215
-2.6879 1.5519 5.4215
0.0000 -3.1037 5.4215
Na Mg Nb O
2 1 2 6
direct
0.1320 0.1320 0.1320
0.8680 0.8680 0.8680
0.5000 0.5000 0.5000
0.3239 0.3239 0.3239
0.6761 0.6761 0.6761
0.0916 0.6677 0.4844
0.3323 0.5156 0.9084
0.4844 0.0916 0.6677
0.5156 0.9084 0.3323
0.6677 0.4844 0.0916
0.9084 0.3323 0.5156
```

Principal peaks in the range 10° ≤ 2θ ≤ 80°, sorted by position:
- 2θ = 16.35°, I 64
- 2θ = 19.84°, I 79
- 2θ = 22.00°, I 61
- 2θ = 33.33°, I 100
- 2θ = 33.61°, I 57
- 2θ = 47.65°, I 93